Structure and calculated powder diffractogram of Pr4AuSe5 (a DFT-relaxed cell (GGA-PBE, Alexandria); Cu Kα (weighted mean of Kα1 and Kα2)).

Structure:
Cell lengths 9.2550, 9.7581, 7.4328 Å; angles 90.00, 90.00, 90.00 degrees
Space group Pmmn (No. 59, origin choice 2)
Inequivalent atoms, fractional coordinates:
Pr: 0.0032 0.2500 0.0423 [4 per cell]
Pr: 0.2500 0.5024 0.5258 [4 per cell]
Au: 0.2500 0.2500 0.3008 [2 per cell]
Se: 0.0175 0.5418 0.2462 [8 per cell]
Se: 0.2500 0.7500 0.7393 [2 per cell]

Principal peaks in the range 15 to 90 degrees two-theta, by angle:
- (0 2 1), 21.79°, intensity 40.3
- (2 0 1), 22.63°, intensity 62.7
- (2 1 1), 24.43°, intensity 19.8
- (0 3 1), 29.99°, intensity 25.2
- (2 2 2), 36.05°, intensity 100.0
- (0 4 0), 36.84°, intensity 22.8
- (4 0 0), 38.92°, intensity 25.1
- (2 4 1), 43.68°, intensity 21.9

=====

Structure and calculated powder diffractogram of Pr2SiAu3 (a DFT-relaxed cell (GGA-PBE, Alexandria); Cu Kα (weighted mean of Kα1 and Kα2)).

Structure:
Cell lengths 3.8407, 4.4758, 8.1544 Å; angles 90.00, 90.00, 90.00 degrees
Space group Pmm2 (No. 25)
Inequivalent atoms, fractional coordinates:
Pr: 0.0000 0.0000 0.0000 [1 per cell]
Pr: 0.0000 0.5000 0.4937 [1 per cell]
Si: 0.5000 0.0000 0.3232 [1 per cell]
Au: 0.5000 0.0000 0.6364 [1 per cell]
Au: 0.5000 0.5000 0.1808 [1 per cell]
Au: 0.5000 0.5000 0.8384 [1 per cell]

Principal peaks in the range 15 to 90 degrees two-theta, by angle:
- (1 0 0), 23.16°, intensity 16.8
- (1 0 2), 32.01°, intensity 42.9
- (1 1 1), 32.63°, intensity 100.0
- (0 1 3), 38.76°, intensity 60.2
- (0 2 0), 40.30°, intensity 29.5
- (2 0 0), 47.34°, intensity 18.7
- (1 2 2), 52.37°, intensity 21.6
- (2 1 3), 62.78°, intensity 29.5

=====

Structure and calculated powder diffractogram of Pr2Si2Au (a DFT-relaxed cell (GGA-PBE, Alexandria); Cu Kα (weighted mean of Kα1 and Kα2)).

Structure:
Cell lengths 11.1639, 4.3654, 10.9936 Å; angles 90.00, 117.97, 90.00 degrees
Space group C2/m (No. 12)
Inequivalent atoms, fractional coordinates:
Pr: 0.1048 0.0000 0.4056 [4 per cell]
Pr: 0.2113 0.5000 0.1534 [4 per cell]
Si: 0.0294 0.0000 0.9102 [4 per cell]
Si: 0.1123 0.5000 0.6062 [4 per cell]
Au: 0.0666 0.5000 0.8184 [4 per cell]

Principal peaks in the range 15 to 90 degrees two-theta, by angle:
- (2 0 -2), 18.69°, intensity 29.8
- (1 1 1), 25.69°, intensity 25.4
- (0 0 3), 27.56°, intensity 33.9
- (1 1 2), 31.61°, intensity 70.4
- (3 1 -1), 31.80°, intensity 100.0
- (4 0 -2), 32.11°, intensity 82.0
- (3 1 -4), 40.04°, intensity 53.1
- (0 2 0), 41.37°, intensity 39.9

=====

Structure and calculated powder diffractogram of PrSi2Au3 (a DFT-relaxed cell (GGA-PBE, Alexandria); Cu Kα (weighted mean of Kα1 and Kα2)).

Structure:
Cell lengths 15.8949, 4.3210, 7.6084 Å; angles 90.00, 115.18, 90.00 degrees
Space group C2/m (No. 12)
Inequivalent atoms, fractional coordinates:
Pr: 0.1506 0.0000 0.0726 [4 per cell]
Si: 0.0134 0.5000 0.1631 [4 per cell]
Si: 0.1895 0.0000 0.6892 [4 per cell]
Au: 0.0409 0.0000 0.3600 [4 per cell]
Au: 0.1186 0.5000 0.7318 [4 per cell]
Au: 0.1822 0.5000 0.4121 [4 per cell]

Principal peaks in the range 15 to 90 degrees two-theta, by angle:
- (3 1 0), 27.79°, intensity 20.7
- (1 1 -2), 31.71°, intensity 21.4
- (3 1 -2), 32.26°, intensity 20.5
- (3 1 1), 34.01°, intensity 100.0
- (2 0 -3), 35.64°, intensity 29.8
- (5 1 -2), 37.39°, intensity 57.0
- (0 2 0), 41.81°, intensity 32.3
- (2 2 -3), 56.08°, intensity 25.4

=====

Structure and calculated powder diffractogram of Pr3Si3Au (a DFT-relaxed cell (GGA-PBE, Alexandria); Cu Kα (weighted mean of Kα1 and Kα2)).

Structure:
Cell lengths 4.0884, 4.4149, 18.6987 Å; angles 90.00, 90.00, 90.00 degrees
Space group Imm2 (No. 44)
Inequivalent atoms, fractional coordinates:
Pr: 0.0000 0.0000 0.0000 [2 per cell]
Pr: 0.0000 0.0000 0.3700 [2 per cell]
Pr: 0.0000 0.5000 0.6930 [2 per cell]
Si: 0.0000 0.0000 0.5415 [2 per cell]
Si: 0.0000 0.0000 0.8278 [2 per cell]
Si: 0.0000 0.5000 0.2525 [2 per cell]
Au: 0.0000 0.5000 0.1216 [2 per cell]

Principal peaks in the range 15 to 90 degrees two-theta, by angle:
- (0 1 3), 24.71°, intensity 12.1
- (1 0 3), 26.07°, intensity 20.6
- (0 1 5), 31.33°, intensity 100.0
- (1 0 7), 40.33°, intensity 15.1
- (0 2 0), 40.88°, intensity 14.9
- (2 0 0), 44.31°, intensity 11.8
- (1 0 9), 49.16°, intensity 14.9
- (2 1 5), 55.28°, intensity 14.0

=====

Structure and calculated powder diffractogram of Pr2ZnSi4Au3 (a DFT-relaxed cell (GGA-PBE, Alexandria); Cu Kα (weighted mean of Kα1 and Kα2)).

Structure:
Cell lengths 4.3423, 4.3423, 10.3290 Å; angles 90.00, 90.00, 90.00 degrees
Space group P-4m2 (No. 115)
Inequivalent atoms, fractional coordinates:
Pr: 0.0000 0.5000 0.2477 [2 per cell]
Zn: 0.5000 0.5000 0.0000 [1 per cell]
Si: 0.0000 0.0000 0.5000 [1 per cell]
Si: 0.0000 0.5000 0.8677 [2 per cell]
Si: 0.5000 0.5000 0.5000 [1 per cell]
Au: 0.0000 0.0000 0.0000 [1 per cell]
Au: 0.0000 0.5000 0.6281 [2 per cell]

Principal peaks in the range 15 to 90 degrees two-theta, by angle:
- (1 0 2), 26.82°, intensity 61.3
- (1 1 0), 29.08°, intensity 31.5
- (1 1 1), 30.37°, intensity 65.6
- (1 0 3), 33.21°, intensity 94.1
- (1 1 2), 33.97°, intensity 100.0
- (2 0 0), 41.60°, intensity 81.3
- (1 0 5), 48.82°, intensity 38.4
- (2 1 3), 54.23°, intensity 47.0

=====

Structure and calculated powder diffractogram of PrSm4Au5 (a DFT-relaxed cell (GGA-PBE, Alexandria); Cu Kα (weighted mean of Kα1 and Kα2)).

Structure:
Cell lengths 3.6657, 3.6657, 18.6800 Å; angles 90.00, 90.00, 90.00 degrees
Space group P4/mmm (No. 123)
Inequivalent atoms, fractional coordinates:
Pr: 0.0000 0.0000 0.0000 [1 per cell]
Sm: 0.0000 0.0000 0.2022 [2 per cell]
Sm: 0.0000 0.0000 0.4007 [2 per cell]
Au: 0.5000 0.5000 0.1059 [2 per cell]
Au: 0.5000 0.5000 0.3015 [2 per cell]
Au: 0.5000 0.5000 0.5000 [1 per cell]

Principal peaks in the range 15 to 90 degrees two-theta, by angle:
- (1 0 5), 34.27°, intensity 100.0
- (1 1 0), 34.61°, intensity 49.2
- (0 0 10), 48.75°, intensity 9.1
- (2 0 0), 49.75°, intensity 17.8
- (1 1 10), 61.16°, intensity 18.5
- (2 1 5), 61.80°, intensity 36.9
- (2 0 10), 72.21°, intensity 11.4
- (3 1 0), 83.37°, intensity 8.3

=====

Structure and calculated powder diffractogram of Pr6Sn3Au (a DFT-relaxed cell (GGA-PBE, Alexandria); Cu Kα (weighted mean of Kα1 and Kα2)).

Structure:
Cell lengths 11.4618, 15.2207, 7.4057 Å; angles 90.00, 90.00, 90.00 degrees
Space group Cmc2_1 (No. 36)
Inequivalent atoms, fractional coordinates:
Pr: 0.0000 0.0428 0.0000 [4 per cell]
Pr: 0.0000 0.2955 0.0277 [4 per cell]
Pr: 0.1794 0.2984 0.5621 [8 per cell]
Pr: 0.2238 0.4505 0.2023 [8 per cell]
Sn: 0.0000 0.4651 0.4864 [4 per cell]
Sn: 0.1382 0.1260 0.3361 [8 per cell]
Au: 0.0000 0.1614 0.6858 [4 per cell]

Principal peaks in the range 15 to 90 degrees two-theta, by angle:
- (3 1 1), 26.90°, intensity 42.2
- (2 4 1), 30.68°, intensity 100.0
- (1 3 2), 30.90°, intensity 24.0
- (2 2 2), 31.06°, intensity 36.5
- (3 3 1), 31.71°, intensity 20.0
- (4 2 1), 35.61°, intensity 28.9
- (0 2 3), 38.33°, intensity 22.6
- (3 1 3), 44.08°, intensity 15.9

=====

Structure and calculated powder diffractogram of PrSn6Au6 (a DFT-relaxed cell (GGA-PBE, Alexandria); Cu Kα (weighted mean of Kα1 and Kα2)).

Structure:
Cell lengths 5.9563, 12.1077, 8.7575 Å; angles 90.00, 90.00, 90.00 degrees
Space group Cmmm (No. 65)
Inequivalent atoms, fractional coordinates:
Pr: 0.0000 0.0000 0.0000 [2 per cell]
Sn: 0.0000 0.5000 0.3070 [4 per cell]
Sn: 0.2500 0.2500 0.2204 [8 per cell]
Au: 0.0000 0.0000 0.3382 [4 per cell]
Au: 0.0000 0.2886 0.5000 [4 per cell]
Au: 0.0000 0.3830 0.0000 [4 per cell]

Principal peaks in the range 15 to 90 degrees two-theta, by angle:
- (1 3 0), 26.68°, intensity 60.0
- (0 4 0), 29.51°, intensity 45.2
- (2 2 0), 33.53°, intensity 49.0
- (0 2 3), 34.10°, intensity 100.0
- (2 0 2), 36.49°, intensity 45.1
- (2 2 2), 39.51°, intensity 66.6
- (2 4 1), 43.91°, intensity 51.4
- (1 5 3), 51.35°, intensity 45.0

=====

Structure and calculated powder diffractogram of PrSn2Au9 (a DFT-relaxed cell (GGA-PBE, Alexandria); Cu Kα (weighted mean of Kα1 and Kα2)).

Structure:
Cell lengths 5.6547, 5.6547, 27.7979 Å; angles 90.00, 90.00, 120.00 degrees
Space group R-3m (No. 166, hexagonal axes)
Inequivalent atoms, fractional coordinates:
Pr: 0.0000 0.0000 0.0000 [3 per cell]
Sn: 0.0000 0.0000 0.1489 [6 per cell]
Au: 0.0000 0.0000 0.3332 [6 per cell]
Au: 0.0000 0.0000 0.5000 [3 per cell]
Au: 0.0027 0.5014 0.9159 [18 per cell]

Principal peaks in the range 15 to 90 degrees two-theta, by angle:
- (1 0 1), 18.40°, intensity 27.1
- (0 2 1), 36.85°, intensity 21.5
- (1 1 6), 37.26°, intensity 100.0
- (0 0 12), 38.88°, intensity 28.8
- (2 0 5), 40.22°, intensity 46.2
- (0 3 6), 60.09°, intensity 23.1
- (2 2 0), 66.09°, intensity 22.3
- (2 2 12), 79.42°, intensity 24.0

=====

Structure and calculated powder diffractogram of Pr2Sn3Au6 (a DFT-relaxed cell (GGA-PBE, Alexandria); Cu Kα (weighted mean of Kα1 and Kα2)).

Structure:
Cell lengths 9.4333, 13.9149, 4.0397 Å; angles 90.00, 90.00, 90.00 degrees
Space group Cmmm (No. 65)
Inequivalent atoms, fractional coordinates:
Pr: 0.2117 0.0000 0.0000 [4 per cell]
Sn: 0.0000 0.2538 0.0000 [4 per cell]
Sn: 0.0000 0.5000 0.5000 [2 per cell]
Au: 0.0000 0.1060 0.5000 [4 per cell]
Au: 0.1950 0.3409 0.5000 [8 per cell]

Principal peaks in the range 15 to 90 degrees two-theta, by angle:
- (0 0 1), 22.00°, intensity 39.7
- (2 2 1), 31.88°, intensity 100.0
- (0 4 1), 34.01°, intensity 72.8
- (3 3 0), 34.46°, intensity 55.4
- (3 1 1), 36.79°, intensity 41.1
- (3 3 1), 41.26°, intensity 33.4
- (2 6 0), 43.47°, intensity 40.5
- (0 0 2), 44.87°, intensity 35.4

=====

Structure and calculated powder diffractogram of Pr2SnAu3 (a DFT-relaxed cell (GGA-PBE, Alexandria); Cu Kα (weighted mean of Kα1 and Kα2)).

Structure:
Cell lengths 7.4164, 9.6133, 16.6819 Å; angles 90.00, 90.00, 90.00 degrees
Space group Fmmm (No. 69)
Inequivalent atoms, fractional coordinates:
Pr: 0.2357 0.0000 0.0000 [8 per cell]
Pr: 0.2500 0.2500 0.2500 [8 per cell]
Sn: 0.0000 0.0000 0.3355 [8 per cell]
Au: 0.0000 0.0000 0.1688 [8 per cell]
Au: 0.0000 0.2493 0.4164 [16 per cell]

Principal peaks in the range 15 to 90 degrees two-theta, by angle:
- (2 0 0), 24.00°, intensity 15.8
- (2 2 2), 32.32°, intensity 100.0
- (0 4 0), 37.38°, intensity 83.2
- (2 4 0), 44.92°, intensity 19.1
- (2 0 8), 50.23°, intensity 29.5
- (4 2 6), 63.32°, intensity 23.7
- (2 4 8), 64.26°, intensity 28.1
- (4 6 6), 87.82°, intensity 15.3

=====

Structure and calculated powder diffractogram of SrPr3Au4 (a DFT-relaxed cell (GGA-PBE, Alexandria); Cu Kα (weighted mean of Kα1 and Kα2)).

Structure:
Cell lengths 7.5213, 7.5213, 7.5213 Å; angles 90.00, 90.00, 90.00 degrees
Space group Im-3m (No. 229)
Inequivalent atoms, fractional coordinates:
Sr: 0.0000 0.0000 0.0000 [2 per cell]
Pr: 0.0000 0.0000 0.5000 [6 per cell]
Au: 0.2500 0.2500 0.2500 [8 per cell]

Principal peaks in the range 15 to 90 degrees two-theta, by angle:
- (2 0 0), 23.66°, intensity 5.2
- (2 2 0), 33.71°, intensity 100.0
- (2 2 2), 41.59°, intensity 1.8
- (4 0 0), 48.41°, intensity 18.2
- (4 2 0), 54.57°, intensity 2.5
- (4 2 2), 60.28°, intensity 38.0
- (4 4 0), 70.88°, intensity 11.8
- (6 2 0), 80.82°, intensity 16.8